Record 1
Structure and computed powder diffraction line list of Si2Sn2O7 (a GGA-PBE-relaxed structure; Cu Kα (weighted mean of Kα1 and Kα2)).
Intensities are scaled so that the largest is 100.

Structure:
```
Si2Sn2O7
1.0
6.684 0.000 0.000
0.843 6.737 0.000
1.037 1.904 12.700
Si Sn O
8 8 28
direct
0.056 0.195 0.199
0.143 0.217 0.426
0.358 0.118 0.627
0.425 0.696 0.129
0.575 0.304 0.871
0.642 0.882 0.373
0.857 0.783 0.574
0.944 0.805 0.801
0.072 0.277 0.888
0.151 0.733 0.359
0.348 0.589 0.652
0.426 0.828 0.861
0.574 0.172 0.139
0.652 0.411 0.348
0.849 0.267 0.641
0.928 0.723 0.112
0.063 0.591 0.777
0.078 0.758 0.512
0.103 0.923 0.854
0.115 0.080 0.328
0.153 0.248 0.676
0.210 0.746 0.199
0.226 0.430 0.380
0.268 0.197 0.129
0.307 0.092 0.507
0.356 0.708 0.010
0.409 0.894 0.696
0.415 0.140 0.863
0.453 0.751 0.374
0.464 0.527 0.821
0.536 0.473 0.179
0.547 0.249 0.626
0.585 0.860 0.137
0.591 0.106 0.304
0.644 0.292 0.990
0.693 0.908 0.493
0.732 0.803 0.871
0.774 0.570 0.620
0.790 0.254 0.801
0.847 0.752 0.324
0.885 0.920 0.672
0.897 0.077 0.146
0.922 0.242 0.488
0.937 0.409 0.223
```

Peak list (10 most intense, 15° ≤ 2θ ≤ 90°, by angle)
2θ 20.1, intensity 32
2θ 20.8, intensity 24
2θ 25.4, intensity 45
2θ 26.6, intensity 31
2θ 26.8, intensity 46
2θ 28.1, intensity 88
2θ 28.3, intensity 100
2θ 28.6, intensity 40
2θ 31.2, intensity 24
2θ 46.4, intensity 23


Record 2
Structure and computed powder diffraction line list of MoPt3 (a GGA-PBE-relaxed structure; Cu Kα (weighted mean of Kα1 and Kα2)).
Intensities are scaled so that the largest is 100.

Structure:
```
MoPt3
1.0
3.980 0.000 0.000
0.000 3.980 0.000
0.000 0.000 3.980
Mo Pt
1 3
direct
0.000 0.000 0.000
0.000 0.500 0.500
0.500 0.000 0.500
0.500 0.500 0.000
```

Peak list (10 most intense, 15° ≤ 2θ ≤ 90°, by angle)
2θ 22.3, intensity 6
2θ 31.8, intensity 5
2θ 39.2, intensity 100
2θ 45.6, intensity 49
2θ 51.3, intensity 3
2θ 56.7, intensity 2
2θ 66.4, intensity 32
2θ 71.1, intensity 1
2θ 80.0, intensity 39
2θ 84.3, intensity 11


Record 3
Structure and computed powder diffraction line list of Bi4Te3Se3 (a GGA-PBE-relaxed structure; Cu Kα (weighted mean of Kα1 and Kα2)).
Intensities are scaled so that the largest is 100.

Structure:
```
Bi4Te3Se3
1.0
10.429 -2.156 0.000
10.429 2.156 0.000
-0.878 0.000 7.418
Bi Te Se
4 3 3
direct
0.000 0.000 0.000
0.319 0.319 0.101
0.500 0.500 0.491
0.817 0.817 0.602
0.086 0.086 0.689
0.231 0.231 0.405
0.731 0.731 0.909
0.410 0.410 0.799
0.574 0.574 0.187
0.908 0.908 0.299
```

Peak list (10 most intense, 15° ≤ 2θ ≤ 90°, by angle)
2θ 17.1, intensity 15
2θ 24.0, intensity 12
2θ 27.9, intensity 100
2θ 33.3, intensity 12
2θ 37.7, intensity 33
2θ 41.9, intensity 38
2θ 45.1, intensity 8
2θ 51.1, intensity 19
2θ 57.6, intensity 10
2θ 68.1, intensity 16